Starting from DFT lattice parameters and positions (PBE), the X-ray diffraction stick pattern of Cu4S3 was computed for Cu Kα, 1.54184 Å.

Top 6 peaks for 15° ≤ 2θ ≤ 90°, low angle first:
d_spacing, I/Imax, hkl
5.338, 414, 2 0 0
5.264, 378, 0 0 1
2.626, 1000, 1 1 1
1.979, 391, 5 1 -1
1.924, 452, 1 1 2
1.890, 395, 5 1 -2

Atomic structure:
a = 12.0924 Å, b = 3.4610 Å, c = 5.9626 Å
α = 90.00°, β = 118.02°, γ = 90.00°
Space group C2/m (No. 12)
Inequivalent atoms, fractional coordinates:
Cu  0.1481  0.0000  0.3621 (multiplicity 4)
Cu  0.1564  0.5000  0.7329 (multiplicity 4)
S  0.0000  0.0000  0.5000 (multiplicity 2)
S  0.1764  0.5000  0.1476 (multiplicity 4)